Tb4AlTlO: theoretical powder diffractogram (Cu Kα (weighted mean of Kα1 and Kα2)), based on DFT lattice parameters and positions (GGA-PBE).
Kinematic intensities with the Lorentz-polarization factor, no thermal factor.

Main lines, sorted by position (10° ≤ 2θ ≤ 90°):
2theta	I_rel	(hkl)
14.56	159	1 1 0
29.36	1000	2 2 0
32.86	392	0 6 0
33.53	225	1 5 1
35.09	899	2 4 0
38.86	672	2 0 2
51.78	435	2 6 2
52.25	153	3 5 1
56.13	231	4 0 0
64.60	218	4 2 2
66.59	203	4 6 0
67.94	269	4 4 2

Structural model:
```
data_Tb4AlTlO
_chemical_formula_sum 'Tb16 Al4 Tl4 O4'
_space_group_name_H-M_alt 'C m c m'
_space_group_IT_number 63
_space_group_name_Hall '-C 2c 2'
_cell_length_a 6.5529
_cell_length_b 16.3540
_cell_length_c 6.5569
_cell_angle_alpha 90.00
_cell_angle_beta 90.00
_cell_angle_gamma 90.00
loop_
_atom_site_label
_atom_site_fract_x
_atom_site_fract_y
_atom_site_fract_z
_atom_site_occupancy
Tb1 0.0000 0.0722 0.2500 1
Tb2 0.0000 0.4182 0.2500 1
Tb3 0.2500 0.2500 0.0000 1
Al1 0.0000 0.1161 0.7500 1
Tl1 0.0000 0.3907 0.7500 1
O1 0.0000 0.2613 0.2500 1
```

Al2Te4O11: theoretical powder diffractogram (Cu Kα (weighted mean of Kα1 and Kα2)), based on DFT lattice parameters and positions (GGA-PBE).
Kinematic intensities with the Lorentz-polarization factor, no thermal factor.

Main lines, sorted by position (10° ≤ 2θ ≤ 90°):
2theta	I_rel	(hkl)
20.80	260	1 0 -2
23.85	1000	1 1 -2
24.59	677	1 0 2
25.14	763	0 2 1
27.58	238	1 2 -1
28.59	888	2 1 0
29.13	450	1 2 1
31.18	209	1 1 -3
39.66	374	0 1 4
44.38	256	2 3 -1
46.20	187	1 3 -3
48.68	297	3 1 2

Structural model:
```
data_Al2Te4O11
_chemical_formula_sum 'Al4 Te8 O22'
_space_group_name_H-M_alt 'P 1 21/c 1'
_space_group_IT_number 14
_cell_length_a 6.9534
_cell_length_b 7.6332
_cell_length_c 9.6721
_cell_angle_alpha 90.00
_cell_angle_beta 100.16
_cell_angle_gamma 90.00
loop_
_space_group_symop_operation_xyz
'x,y,z'
'-x,-y,-z'
'-x,y+1/2,-z+1/2'
'x,-y+1/2,z+1/2'
loop_
_atom_site_label
_atom_site_fract_x
_atom_site_fract_y
_atom_site_fract_z
_atom_site_occupancy
Al1 0.1824 0.0007 0.1141 1
Te1 0.1752 0.6449 0.9139 1
Te2 0.3517 0.1453 0.8245 1
O1 0.0000 0.0000 0.5000 1
O2 0.0330 0.6320 0.7296 1
O3 0.0580 0.6331 0.4496 1
O4 0.2924 0.1142 0.2860 1
O5 0.3312 0.1487 0.0170 1
O6 0.3712 0.6834 0.6467 1
```

AlTeO: theoretical powder diffractogram (Cu Kα (weighted mean of Kα1 and Kα2)), based on DFT lattice parameters and positions (GGA-PBE).
Kinematic intensities with the Lorentz-polarization factor, no thermal factor.

Main lines, sorted by position (10° ≤ 2θ ≤ 90°):
2theta	I_rel	(hkl)
15.32	1000	2 0 -2
16.77	358	1 1 -1
20.87	533	4 0 -2
21.60	391	3 1 -1
26.01	348	4 0 0
27.57	303	3 1 -3
29.22	596	2 0 2
30.07	448	0 2 0
30.92	318	4 0 -4
33.91	406	2 2 -2
39.57	329	7 1 -3
40.17	351	4 2 0

Structural model:
```
data_AlTeO
_chemical_formula_sum 'Al12 Te12 O12'
_space_group_name_H-M_alt 'C 1 c 1'
_space_group_IT_number 9
_cell_length_a 17.2707
_cell_length_b 5.9437
_cell_length_c 11.6052
_cell_angle_alpha 90.00
_cell_angle_beta 127.48
_cell_angle_gamma 90.00
loop_
_space_group_symop_operation_xyz
'x,y,z'
'x,-y,z+1/2'
'x+1/2,y+1/2,z'
'x+1/2,-y+1/2,z+1/2'
loop_
_atom_site_label
_atom_site_fract_x
_atom_site_fract_y
_atom_site_fract_z
_atom_site_occupancy
Al1 0.0000 0.1125 0.0000 1
Al2 0.1445 0.2276 0.3338 1
Al3 0.2164 0.2707 0.8286 1
Te1 0.0895 0.2619 0.5212 1
Te2 0.3464 0.2332 0.7732 1
Te3 0.3639 0.2699 0.2363 1
O1 0.0357 0.2262 0.1582 1
O2 0.2051 0.0247 0.8897 1
O3 0.2103 0.4721 0.3842 1
```

AlTeO4: theoretical powder diffractogram (Cu Kα (weighted mean of Kα1 and Kα2)), based on DFT lattice parameters and positions (GGA-PBE).
Kinematic intensities with the Lorentz-polarization factor, no thermal factor.

Main lines, sorted by position (10° ≤ 2θ ≤ 90°):
2theta	I_rel	(hkl)
15.30	102	0 2 0
23.71	354	0 2 1
27.70	1000	1 1 1
30.29	470	1 3 0
35.97	182	0 4 1
36.47	111	0 0 2
46.49	139	2 2 1
47.72	115	1 5 1
48.11	270	1 3 2
54.39	262	2 4 1
54.76	164	2 0 2
65.32	99	0 4 3

Structural model:
```
data_AlTeO4
_chemical_formula_sum 'Al4 Te4 O16'
_space_group_name_H-M_alt 'P b c n'
_space_group_IT_number 60
_cell_length_a 4.5755
_cell_length_b 11.5834
_cell_length_c 4.9273
_cell_angle_alpha 90.00
_cell_angle_beta 90.00
_cell_angle_gamma 90.00
loop_
_space_group_symop_operation_xyz
'x,y,z'
'-x,-y,-z'
'-x+1/2,-y+1/2,z+1/2'
'x+1/2,y+1/2,-z+1/2'
'x+1/2,-y+1/2,-z'
'-x+1/2,y+1/2,z'
'-x,y,-z+1/2'
'x,-y,z+1/2'
loop_
_atom_site_label
_atom_site_fract_x
_atom_site_fract_y
_atom_site_fract_z
_atom_site_occupancy
Al1 0.0000 0.0638 0.2500 1
Te1 0.0000 0.3336 0.2500 1
O1 0.2231 0.1867 0.0886 1
O2 0.2283 0.0512 0.5710 1
```

AlTe2O5: theoretical powder diffractogram (Cu Kα (weighted mean of Kα1 and Kα2)), based on DFT lattice parameters and positions (GGA-PBE).
Kinematic intensities with the Lorentz-polarization factor, no thermal factor.

Main lines, sorted by position (10° ≤ 2θ ≤ 90°):
2theta	I_rel	(hkl)
13.91	157	1 1 0
26.29	1000	1 2 1
28.10	263	1 3 0
28.95	747	2 1 1
33.21	147	0 0 2
34.64	141	0 4 0
42.61	123	3 3 0
44.05	130	1 3 2
52.47	265	2 5 1
55.07	165	3 3 2
55.26	121	1 2 3
62.70	142	5 2 1

Structural model:
```
data_AlTe2O5
_chemical_formula_sum 'Al4 Te8 O20'
_space_group_name_H-M_alt 'P b c n'
_space_group_IT_number 60
_cell_length_a 8.0693
_cell_length_b 10.3579
_cell_length_c 5.3947
_cell_angle_alpha 90.00
_cell_angle_beta 90.00
_cell_angle_gamma 90.00
loop_
_space_group_symop_operation_xyz
'x,y,z'
'-x,-y,-z'
'-x+1/2,-y+1/2,z+1/2'
'x+1/2,y+1/2,-z+1/2'
'x+1/2,-y+1/2,-z'
'-x+1/2,y+1/2,z'
'-x,y,-z+1/2'
'x,-y,z+1/2'
loop_
_atom_site_label
_atom_site_fract_x
_atom_site_fract_y
_atom_site_fract_z
_atom_site_occupancy
Al1 0.0000 0.0609 0.2500 1
Te1 0.1450 0.3542 0.5255 1
O1 0.0000 0.4354 0.2500 1
O2 0.1206 0.0648 0.9475 1
O3 0.1671 0.1962 0.3364 1
```

Al2TlTeO8: theoretical powder diffractogram (Cu Kα (weighted mean of Kα1 and Kα2)), based on DFT lattice parameters and positions (GGA-PBE).
Kinematic intensities with the Lorentz-polarization factor, no thermal factor.

Main lines, sorted by position (10° ≤ 2θ ≤ 90°):
2theta	I_rel	(hkl)
19.33	1000	1 1 0
27.34	505	0 2 0
27.58	534	2 0 0
28.28	228	0 0 2
34.48	807	1 1 2
39.23	203	2 2 0
39.74	368	0 2 2
44.25	217	3 1 0
49.06	213	2 2 2
53.07	330	1 3 2
53.35	365	3 1 2
68.07	212	3 3 2

Structural model:
```
data_Al2TlTeO8
_chemical_formula_sum 'Al4 Tl2 Te2 O16'
_space_group_name_H-M_alt 'C m m m'
_space_group_IT_number 65
_space_group_name_Hall '-C 2 2'
_cell_length_a 6.4675
_cell_length_b 6.5232
_cell_length_c 6.3112
_cell_angle_alpha 90.00
_cell_angle_beta 90.00
_cell_angle_gamma 90.00
loop_
_atom_site_label
_atom_site_fract_x
_atom_site_fract_y
_atom_site_fract_z
_atom_site_occupancy
Al1 0.0000 0.0000 0.2454 1
Tl1 0.0000 0.5000 0.5000 1
Te1 0.0000 0.5000 0.0000 1
O1 0.0000 0.2931 0.2214 1
O2 0.1673 0.0000 0.5000 1
O3 0.1948 0.0000 0.0000 1
```

TiAl3O6: theoretical powder diffractogram (Cu Kα (weighted mean of Kα1 and Kα2)), based on DFT lattice parameters and positions (GGA-PBE).
Kinematic intensities with the Lorentz-polarization factor, no thermal factor.

Main lines, sorted by position (10° ≤ 2θ ≤ 90°):
2theta	I_rel	(hkl)
24.81	557	0 1 2
34.14	1000	1 0 4
36.57	542	1 1 0
42.01	730	1 1 3
50.89	484	0 2 4
55.74	815	2 -1 6
59.51	94	0 1 8
64.29	396	3 -1 4
65.84	527	3 0 0
74.50	163	1 0 10
77.72	93	2 2 0
87.71	120	1 3 4

Structural model:
```
data_TiAl3O6
_chemical_formula_sum 'Ti3 Al9 O18'
_space_group_name_H-M_alt 'R 3'
_space_group_IT_number 146
_space_group_name_Hall 'R 3'
_cell_length_a 4.9141
_cell_length_b 4.9141
_cell_length_c 13.3486
_cell_angle_alpha 90.00
_cell_angle_beta 90.00
_cell_angle_gamma 120.00
loop_
_atom_site_label
_atom_site_fract_x
_atom_site_fract_y
_atom_site_fract_z
_atom_site_occupancy
Ti1 0.0000 0.0000 0.0000 1
Al1 0.0000 0.0000 0.2078 1
Al2 0.0000 0.0000 0.5061 1
Al3 0.0000 0.0000 0.7104 1
O1 0.0227 0.6722 0.7770 1
O2 0.0505 0.3588 0.2726 1
```

Ti6AlO3: theoretical powder diffractogram (Cu Kα (weighted mean of Kα1 and Kα2)), based on DFT lattice parameters and positions (GGA-PBE).
Kinematic intensities with the Lorentz-polarization factor, no thermal factor.

Main lines, sorted by position (10° ≤ 2θ ≤ 90°):
2theta	I_rel	(hkl)
22.22	157	0 1 2
32.39	254	1 1 0
37.01	448	0 0 6
37.43	1000	1 1 3
38.10	372	0 2 1
39.63	314	2 0 2
45.33	375	0 2 4
49.26	246	2 0 5
49.99	370	1 1 6
61.13	178	3 0 3
66.98	176	2 -1 9
70.90	281	4 -2 3

Structural model:
```
data_Ti6AlO3
_chemical_formula_sum 'Ti18 Al3 O9'
_space_group_name_H-M_alt 'R 3'
_space_group_IT_number 146
_space_group_name_Hall 'R 3'
_cell_length_a 5.5280
_cell_length_b 5.5280
_cell_length_c 14.5741
_cell_angle_alpha 90.00
_cell_angle_beta 90.00
_cell_angle_gamma 120.00
loop_
_atom_site_label
_atom_site_fract_x
_atom_site_fract_y
_atom_site_fract_z
_atom_site_occupancy
Ti1 0.0005 0.3358 0.0000 1
Ti2 0.1356 0.8005 0.8330 1
Al1 0.0000 0.0000 0.5011 1
O1 0.0000 0.0000 0.0685 1
O2 0.0000 0.0000 0.2607 1
O3 0.0000 0.0000 0.7402 1
```

Ti3Al2O: theoretical powder diffractogram (Cu Kα (weighted mean of Kα1 and Kα2)), based on DFT lattice parameters and positions (GGA-PBE).
Kinematic intensities with the Lorentz-polarization factor, no thermal factor.

Main lines, sorted by position (10° ≤ 2θ ≤ 90°):
2theta	I_rel	(hkl)
18.13	78	1 1 0
22.26	58	1 1 1
39.06	1000	2 2 1
41.27	498	3 1 0
43.38	235	3 1 1
49.28	79	3 2 1
56.43	91	4 1 1
59.78	92	4 2 0
69.25	198	4 3 1
73.75	198	5 2 0
82.49	68	5 3 1
86.78	59	6 1 1

Structural model:
```
data_Ti3Al2O
_chemical_formula_sum 'Ti12 Al8 O4'
_space_group_name_H-M_alt 'P 41 3 2'
_space_group_IT_number 213
_space_group_name_Hall 'P 4bd 2ab 3'
_cell_length_a 6.9181
_cell_length_b 6.9181
_cell_length_c 6.9181
_cell_angle_alpha 90.00
_cell_angle_beta 90.00
_cell_angle_gamma 90.00
loop_
_atom_site_label
_atom_site_fract_x
_atom_site_fract_y
_atom_site_fract_z
_atom_site_occupancy
Ti1 0.0419 0.1250 0.7919 1
Al1 0.0712 0.9288 0.4288 1
O1 0.1250 0.3750 0.6250 1
```

Ti3AlO6: theoretical powder diffractogram (Cu Kα (weighted mean of Kα1 and Kα2)), based on DFT lattice parameters and positions (GGA-PBE).
Kinematic intensities with the Lorentz-polarization factor, no thermal factor.

Main lines, sorted by position (10° ≤ 2θ ≤ 90°):
2theta	I_rel	(hkl)
18.30	841	0 0 3
30.09	110	0 1 4
35.45	1000	2 0 1
37.08	76	0 0 6
43.08	757	2 0 4
47.17	124	0 2 5
56.95	233	2 0 7
57.00	117	3 0 3
62.56	638	2 2 0
74.04	73	0 4 1
79.02	82	0 4 4
89.69	130	0 4 7

Structural model:
```
data_Ti3AlO6
_chemical_formula_sum 'Ti12 Al4 O24'
_space_group_name_H-M_alt 'P -3 m 1'
_space_group_IT_number 164
_space_group_name_Hall '-P 3 2"'
_cell_length_a 5.9353
_cell_length_b 5.9353
_cell_length_c 14.5669
_cell_angle_alpha 90.00
_cell_angle_beta 90.00
_cell_angle_gamma 120.00
loop_
_atom_site_label
_atom_site_fract_x
_atom_site_fract_y
_atom_site_fract_z
_atom_site_occupancy
Ti1 0.0000 0.0000 0.0000 1
Ti2 0.0000 0.5000 0.5000 1
Ti3 0.1593 0.3185 0.1633 1
Ti4 0.3333 0.6667 0.3202 1
Al1 0.0000 0.0000 0.3753 1
Al2 0.3333 0.6667 0.9599 1
O1 0.0000 0.0000 0.2534 1
O2 0.0380 0.5190 0.2402 1
O3 0.1669 0.3338 0.4153 1
O4 0.1702 0.3403 0.9200 1
O5 0.3333 0.6667 0.0825 1
O6 0.3333 0.6667 0.5649 1
```